Starting from a structure optimized by DFT (GGA-PBE), the powder diffraction line list of MnH12C2N2Cl4 was simulated for Cu Kα (weighted mean of Kα1 and Kα2).
Kinematic intensities with the Lorentz-polarization factor, no thermal factor.

Atomic structure:
```
MnH12C2N2Cl4
1.0
3.679 -9.239 0.000
3.679 9.239 0.000
0.000 0.000 7.177
Mn H C N Cl
2 24 4 4 8
Direct
0.000 0.000 0.000
0.500 0.500 0.500
0.025 0.198 0.522
0.097 0.661 0.510
0.113 0.887 0.672
0.161 0.597 0.010
0.191 0.809 0.306
0.198 0.025 0.478
0.302 0.475 0.978
0.309 0.691 0.806
0.339 0.903 0.510
0.387 0.613 0.172
0.403 0.839 0.010
0.475 0.302 0.022
0.525 0.698 0.978
0.597 0.161 0.990
0.613 0.387 0.828
0.661 0.097 0.490
0.691 0.309 0.194
0.698 0.525 0.022
0.802 0.975 0.522
0.809 0.191 0.694
0.839 0.403 0.990
0.887 0.113 0.328
0.903 0.339 0.490
0.975 0.802 0.478
0.191 0.809 0.459
0.309 0.691 0.959
0.691 0.309 0.041
0.809 0.191 0.541
0.115 0.885 0.526
0.385 0.615 0.026
0.615 0.385 0.974
0.885 0.115 0.474
0.126 0.874 0.963
0.237 0.263 0.750
0.263 0.237 0.250
0.374 0.626 0.463
0.626 0.374 0.537
0.737 0.763 0.750
0.763 0.737 0.250
0.874 0.126 0.037
```

Peak list (10 most intense, 15 to 90 degrees two-theta, by intensity)
| 2θ/deg | d (Å) | I/Imax |
| --- | --- | --- |
| 34.9 | 2.569 | 100 |
| 17.9 | 4.950 | 97 |
| 36.3 | 2.475 | 45 |
| 38.3 | 2.348 | 38 |
| 24.2 | 3.679 | 35 |
| 31.6 | 2.833 | 34 |
| 31.1 | 2.878 | 33 |
| 53.3 | 1.718 | 30 |
| 29.0 | 3.081 | 27 |
| 22.5 | 3.945 | 26 |